For KLaCr2O8, a structure optimized by DFT (PBE+U) gives the theoretical powder XRD pattern in this record (Cu Kα (weighted mean of Kα1 and Kα2)).

Structure:
```
data_KLaCr2O8
_chemical_formula_sum 'K4 La4 Cr8 O32'
_space_group_name_H-M_alt 'P 1 21/c 1'
_space_group_IT_number 14
_cell_length_a 8.931
_cell_length_b 7.591
_cell_length_c 11.163
_cell_angle_alpha 90.00
_cell_angle_beta 92.58
_cell_angle_gamma 90.00
loop_
_space_group_symop_operation_xyz
'x,y,z'
'-x,-y,-z'
'-x,y+1/2,-z+1/2'
'x,-y+1/2,z+1/2'
loop_
_atom_site_label
_atom_site_type_symbol
_atom_site_fract_x
_atom_site_fract_y
_atom_site_fract_z
K1 K 0.067 0.152 0.340
La1 La 0.441 0.663 0.655
Cr1 Cr 0.221 0.665 0.411
Cr2 Cr 0.311 0.163 0.607
O1 O 0.088 0.528 0.369
O2 O 0.130 0.133 0.605
O3 O 0.195 0.747 0.045
O4 O 0.245 0.680 0.807
O5 O 0.358 0.159 0.191
O6 O 0.365 0.187 0.467
O7 O 0.384 0.558 0.439
O8 O 0.406 0.502 0.178
```

Peak list (6 most intense, 2θ = 10–90°, in order of rising 2θ)
2θ (°)  I_rel  h k l
25.00  58  2 0 -2
26.61  100  1 2 -1
28.70  73  2 1 2
42.23  28  4 1 0
44.75  32  1 3 3
48.00  25  1 2 -5